(1)
Simulated powder diffraction line list
Compound: Li4Dy5Tl4
Radiation: Cu Ka
Structure: DFT lattice parameters and positions (GGA-PBE)
Neutral-atom scattering factors, no anomalous dispersion.

Structural model:
abc: 8.7782 8.7782 8.7782
angles: 93.89 93.89 149.80
Sites, in units of the cell vectors:
Li (0.0718, 0.3974, 0.4692)
Li (0.3974, 0.9282, 0.3257)
Li (0.6026, 0.0718, 0.6743)
Li (0.9282, 0.6026, 0.5308)
Dy (0.1264, 0.7974, 0.9238)
Dy (0.2026, 0.1264, 0.3290)
Dy (0.5000, 0.5000, 0.0000)
Dy (0.7974, 0.8736, 0.6710)
Dy (0.8736, 0.2026, 0.0762)
Tl (0.2442, 0.5605, 0.8047)
Tl (0.4395, 0.2442, 0.6837)
Tl (0.5605, 0.7558, 0.3163)
Tl (0.7558, 0.4395, 0.1953)

Top 10 peaks for 5 to 70 degrees two-theta, by intensity:
2θ (°)  I (rel.)
29.7  1000
36.6  995
25.6  837
33.3  779
33.4  615
10.4  474
39.4  431
44.1  353
52.6  345
66.1  344


(2)
Simulated powder diffraction line list
Compound: LiDyZn4
Radiation: Cu Ka
Structure: DFT lattice parameters and positions (GGA-PBE)
Neutral-atom scattering factors, no anomalous dispersion.

Structural model:
abc: 8.3922 8.3922 4.3630
angles: 90.00 90.00 134.94
Sites, in units of the cell vectors:
Li (0.1407, 0.8593, 0.7500)
Li (0.8593, 0.1407, 0.2500)
Dy (0.3885, 0.6115, 0.2500)
Dy (0.6115, 0.3885, 0.7500)
Zn (0.0276, 0.4449, 0.7500)
Zn (0.1620, 0.2503, 0.7500)
Zn (0.2503, 0.1620, 0.2500)
Zn (0.4449, 0.0276, 0.2500)
Zn (0.5551, 0.9724, 0.7500)
Zn (0.7497, 0.8380, 0.7500)
Zn (0.8380, 0.7497, 0.2500)
Zn (0.9724, 0.5551, 0.2500)

Top 10 peaks for 5 to 70 degrees two-theta, by intensity:
2θ (°)  I (rel.)
36.6  1000
40.6  783
36.3  459
30.2  457
25.3  438
41.4  408
56.2  341
14.9  304
32.0  226
42.6  195


(3)
Simulated powder diffraction line list
Compound: Li2DyZn9
Radiation: Cu Ka
Structure: DFT lattice parameters and positions (GGA-PBE)
Neutral-atom scattering factors, no anomalous dispersion.

Structural model:
abc: 8.8660 8.8660 8.8660
angles: 34.44 34.44 34.44
Sites, in units of the cell vectors:
Li (0.1433, 0.1433, 0.1433)
Li (0.8567, 0.8567, 0.8567)
Dy (0.0000, 0.0000, 0.0000)
Zn (0.0797, 0.5890, 0.5890)
Zn (0.3342, 0.3342, 0.3342)
Zn (0.4110, 0.4110, 0.9203)
Zn (0.4110, 0.9203, 0.4110)
Zn (0.5000, 0.5000, 0.5000)
Zn (0.5890, 0.0797, 0.5890)
Zn (0.5890, 0.5890, 0.0797)
Zn (0.6658, 0.6658, 0.6658)
Zn (0.9203, 0.4110, 0.4110)

Top 10 peaks for 5 to 70 degrees two-theta, by intensity:
2θ (°)  I (rel.)
40.6  1000
10.6  609
24.2  400
43.4  316
39.8  295
35.9  272
40.3  244
65.6  231
43.7  198
34.2  173


(4)
Simulated powder diffraction line list
Compound: Li6DyZn12
Radiation: Cu Ka
Structure: DFT lattice parameters and positions (GGA-PBE)
Neutral-atom scattering factors, no anomalous dispersion.

Structural model:
abc: 7.0978 7.0978 7.0978
angles: 105.20 105.20 105.20
Sites, in units of the cell vectors:
Li (0.2792, 0.2792, 0.7104)
Li (0.2792, 0.7104, 0.2792)
Li (0.2896, 0.7208, 0.7208)
Li (0.7104, 0.2792, 0.2792)
Li (0.7208, 0.2896, 0.7208)
Li (0.7208, 0.7208, 0.2896)
Dy (0.0000, 0.0000, 0.0000)
Zn (0.1134, 0.5000, 0.8866)
Zn (0.1134, 0.8866, 0.5000)
Zn (0.1423, 0.3911, 0.3911)
Zn (0.3911, 0.1423, 0.3911)
Zn (0.3911, 0.3911, 0.1423)
Zn (0.5000, 0.1134, 0.8866)
Zn (0.5000, 0.8866, 0.1134)
Zn (0.6089, 0.6089, 0.8577)
Zn (0.6089, 0.8577, 0.6089)
Zn (0.8577, 0.6089, 0.6089)
Zn (0.8866, 0.1134, 0.5000)
Zn (0.8866, 0.5000, 0.1134)

Top 10 peaks for 5 to 70 degrees two-theta, by intensity:
2θ (°)  I (rel.)
34.8  1000
35.5  552
51.5  312
27.9  260
64.9  244
27.4  214
39.5  161
45.8  159
50.6  155
42.4  142